For NaNiS2O8, the GGA+U geometry in Alexandria gives the theoretical powder XRD pattern in this record (Cu Ka).
Peak positions follow from Bragg's law for the DFT cell and can differ from measured ones.

```
NaNiS2O8
1.0
4.9289 0.0000 0.0000
-2.4644 4.2685 0.0000
0.0000 0.0000 7.2604
Na Ni S O
1 1 2 8
Direct
0.0000 0.0000 0.0000
0.0000 0.0000 0.5000
0.3333 0.6667 0.7383
0.6667 0.3333 0.2617
0.0769 0.3562 0.6759
0.2794 0.9231 0.6759
0.3333 0.6667 0.9427
0.3562 0.2794 0.3241
0.6438 0.7206 0.6759
0.6667 0.3333 0.0573
0.7206 0.0769 0.3241
0.9231 0.6438 0.3241
```

Top 12 peaks for 2θ from 10° to 80°, most intense first:
d [Å]  2θ (°)  Rel. int.  hkl
3.680  24.2  100  0 1 1
2.765  32.4  47  0 1 2
2.464  36.5  31  1 1 0
7.260  12.2  26  0 0 1
1.840  49.5  19  0 2 2
1.461  63.7  15  1 1 4
2.039  44.4  13  2 -1 2
1.474  63.1  12  2 1 2
1.423  65.6  11  3 0 0
1.575  58.6  10  1 2 1
4.269  20.8  10  1 0 0
2.334  38.6  9  1 1 1